[1]
Calculated powder X-ray diffraction pattern
Compound: SrTlBPb
Radiation: Cu Kα X-rays
Structure: a crystal structure in Alexandria, relaxed with PBE
Kinematic intensities with the Lorentz-polarization factor, no thermal factor.

Structure:
Cell lengths 5.8201, 5.8201, 5.0814 Å; angles 110.06, 110.06, 41.58 degrees
Element x y z (fractional)
Sr: 0.0000 0.0000 0.0000
Tl: 0.3331 0.3331 0.3311
B: 0.7132 0.7132 0.1743
Pb: 0.6569 0.6569 0.6330

The 10 most intense peaks (15° ≤ 2θ ≤ 90°), in order of rising 2θ:
d 3.198, I = 100
d 2.956, I = 40
d 2.677, I = 32
d 2.614, I = 62
d 2.526, I = 31
d 2.066, I = 17
d 1.896, I = 26
d 1.746, I = 19
d 1.693, I = 17
d 1.599, I = 16

[2]
Calculated powder X-ray diffraction pattern
Compound: NaSr2RuO5
Radiation: Cu Kα X-rays
Structure: a crystal structure in Alexandria, relaxed with PBE
Kinematic intensities with the Lorentz-polarization factor, no thermal factor.

Structure:
Cell lengths 6.8079, 6.8079, 6.8079 Å; angles 146.43, 126.99, 64.22 degrees
Element x y z (fractional)
Na: 0.0000 0.0000 0.0000
Sr: 0.2816 0.7816 0.5000
Sr: 0.7184 0.2184 0.5000
Ru: 0.5000 0.5000 0.0000
O: 0.1495 0.3735 0.7760
O: 0.4025 0.6265 0.7760
O: 0.5000 0.0000 0.5000
O: 0.5975 0.3735 0.2240
O: 0.8505 0.6265 0.2240

The 10 most intense peaks (15° ≤ 2θ ≤ 90°), in order of rising 2θ:
d 5.376, I = 63
d 3.038, I = 26
d 2.865, I = 100
d 2.156, I = 16
d 2.091, I = 29
d 2.038, I = 21
d 1.966, I = 16
d 1.719, I = 22
d 1.519, I = 14
d 1.432, I = 15

[3]
Calculated powder X-ray diffraction pattern
Compound: Ta2Ti2Zn
Radiation: Cu Kα X-rays
Structure: a crystal structure in Alexandria, relaxed with PBE
Kinematic intensities with the Lorentz-polarization factor, no thermal factor.

Structure:
Cell lengths 11.4278, 11.3445, 2.8096 Å; angles 84.60, 81.23, 14.17 degrees
Element x y z (fractional)
Ta: 0.1962 0.1962 0.8038
Ta: 0.8038 0.8038 0.1962
Ti: 0.4026 0.4026 0.5974
Ti: 0.5974 0.5974 0.4026
Zn: 0.0000 0.0000 0.0000

The 10 most intense peaks (15° ≤ 2θ ≤ 90°), in order of rising 2θ:
d 2.562, I = 21
d 2.330, I = 100
d 2.242, I = 22
d 2.212, I = 22
d 1.732, I = 10
d 1.575, I = 14
d 1.364, I = 9
d 1.311, I = 14
d 1.299, I = 15
d 1.165, I = 10

[4]
Calculated powder X-ray diffraction pattern
Compound: In8Sn3Hg8
Radiation: Cu Kα X-rays
Structure: a crystal structure in Alexandria, relaxed with PBE
Kinematic intensities with the Lorentz-polarization factor, no thermal factor.

Structure:
Cell lengths 6.1795, 8.5838, 10.5367 Å; angles 70.36, 80.75, 83.72 degrees
Element x y z (fractional)
In: 0.1681 0.3320 0.4745
In: 0.2057 0.4997 0.7128
In: 0.2123 0.9009 0.6153
In: 0.2697 0.8282 0.9337
In: 0.7303 0.1718 0.0663
In: 0.7877 0.0991 0.3847
In: 0.7943 0.5003 0.2872
In: 0.8319 0.6680 0.5255
Sn: 0.0000 0.5000 0.0000
Sn: 0.0292 0.8520 0.2215
Sn: 0.9708 0.1480 0.7785
Hg: 0.2796 0.1684 0.9883
Hg: 0.3210 0.0944 0.3033
Hg: 0.3815 0.4908 0.1653
Hg: 0.4081 0.7057 0.3917
Hg: 0.5919 0.2943 0.6083
Hg: 0.6185 0.5092 0.8347
Hg: 0.6790 0.9056 0.6967
Hg: 0.7204 0.8316 0.0117

The 10 most intense peaks (15° ≤ 2θ ≤ 90°), in order of rising 2θ:
d 3.065, I = 46
d 2.840, I = 93
d 2.820, I = 59
d 2.810, I = 100
d 2.717, I = 44
d 2.692, I = 83
d 2.628, I = 28
d 2.578, I = 56
d 2.541, I = 55
d 2.451, I = 32